Simulated powder X-ray diffraction pattern
Compound: AlNi6Ge
Radiation: CuKα
Structure: a structure optimized by DFT (PBE)

Top 10 peaks for 2θ from 10° to 90°, low angle first:
2θ = 12.5°, I = 5, hkl 0 0 1
2θ = 25.1°, I = 1, hkl 1 0 0
2θ = 28.1°, I = 3, hkl 1 0 1
2θ = 35.7°, I = 1, hkl 1 1 0
2θ = 38.0°, I = 2, hkl 0 0 3
2θ = 44.2°, I = 100, hkl 1 1 2
2θ = 46.1°, I = 1, hkl 1 0 3
2θ = 51.5°, I = 47, hkl 2 0 0
2θ = 53.2°, I = 1, hkl 2 0 1
2θ = 75.7°, I = 27, hkl 2 2 0

Crystal structure
```
data_AlNi6Ge
_symmetry_space_group_name_H-M 'P 4/m m m'
_symmetry_Int_Tables_number 123
_symmetry_space_group_name_Hall '-P 4 2'
_cell_length_a 3.552
_cell_length_b 3.552
_cell_length_c 7.103
_cell_angle_alpha 90.00
_cell_angle_beta 90.00
_cell_angle_gamma 90.00
loop_
_atom_site_label
_atom_site_fract_x
_atom_site_fract_y
_atom_site_fract_z
Al1 0.000 0.000 0.000
Ni1 0.000 0.500 0.250
Ni2 0.500 0.500 0.000
Ni3 0.500 0.500 0.500
Ge1 0.000 0.000 0.500
```

=====

Simulated powder X-ray diffraction pattern
Compound: CuTe2PbO7
Radiation: CuKα
Structure: a structure optimized by DFT (PBE)

Top 10 peaks for 2θ from 10° to 90°, low angle first:
2θ = 20.9°, I = 35, hkl 1 1 1
2θ = 26.6°, I = 49, hkl 1 3 1
2θ = 27.1°, I = 50, hkl 2 2 0
2θ = 28.1°, I = 100, hkl 0 4 1
2θ = 31.6°, I = 92, hkl 2 2 1
2θ = 32.2°, I = 44, hkl 0 0 2
2θ = 42.6°, I = 36, hkl 2 2 2
2θ = 55.0°, I = 18, hkl 0 4 3
2θ = 56.4°, I = 19, hkl 2 8 1
2θ = 57.1°, I = 18, hkl 2 2 3

Crystal structure
```
data_CuTe2PbO7
_symmetry_space_group_name_H-M 'P b c m'
_symmetry_Int_Tables_number 57
_cell_length_a 7.271
_cell_length_b 15.450
_cell_length_c 5.554
_cell_angle_alpha 90.00
_cell_angle_beta 90.00
_cell_angle_gamma 90.00
loop_
_symmetry_equiv_pos_as_xyz
'x,y,z'
'-x,-y,-z'
'-x,-y,z+1/2'
'x,y,-z+1/2'
'x,-y+1/2,-z'
'-x,y+1/2,z'
'-x,y+1/2,-z+1/2'
'x,-y+1/2,z+1/2'
loop_
_atom_site_label
_atom_site_fract_x
_atom_site_fract_y
_atom_site_fract_z
Cu1 0.237 0.114 0.250
Te1 0.013 0.675 0.750
Te2 0.494 0.172 0.750
Pb1 0.285 0.538 0.250
O1 0.044 0.100 0.009
O2 0.261 0.232 0.750
O3 0.268 0.612 0.750
O4 0.394 0.750 0.000
O5 0.422 0.089 0.501
```

=====

Simulated powder X-ray diffraction pattern
Compound: Fe4S5
Radiation: CuKα
Structure: a structure optimized by DFT (PBE)

Top 10 peaks for 2θ from 10° to 90°, low angle first:
2θ = 17.4°, I = 100, hkl 0 0 2
2θ = 26.8°, I = 16, hkl 1 -2 1
2θ = 30.9°, I = 23, hkl -1 2 2
2θ = 40.7°, I = 21, hkl 1 3 -2
2θ = 44.8°, I = 30, hkl 3 -1 3
2θ = 45.6°, I = 31, hkl 1 3 -3
2θ = 50.8°, I = 28, hkl 1 3 4
2θ = 51.8°, I = 28, hkl 1 3 -4
2θ = 52.1°, I = 27, hkl 2 -4 0
2θ = 58.0°, I = 15, hkl 1 3 5

Crystal structure
```
data_Fe4S5
_symmetry_space_group_name_H-M 'P 1'
_symmetry_Int_Tables_number 1
_cell_length_a 7.854
_cell_length_b 7.858
_cell_length_c 10.205
_cell_angle_alpha 89.26
_cell_angle_beta 88.71
_cell_angle_gamma 89.99
loop_
_symmetry_equiv_pos_as_xyz
'x,y,z'
loop_
_atom_site_label
_atom_site_fract_x
_atom_site_fract_y
_atom_site_fract_z
Fe1 0.000 0.000 0.000
Fe2 0.088 0.305 0.009
Fe3 0.200 0.607 0.011
Fe4 0.391 0.197 0.011
Fe5 0.503 0.499 0.009
Fe6 0.591 0.804 0.000
Fe7 0.696 0.108 0.001
Fe8 0.895 0.696 0.002
S1 0.097 0.796 0.883
S2 0.182 0.104 0.129
S3 0.299 0.404 0.889
S4 0.403 0.696 0.130
S5 0.501 0.011 0.883
S6 0.586 0.292 0.130
S7 0.694 0.607 0.882
S8 0.792 0.900 0.122
S9 0.904 0.201 0.881
S10 0.999 0.508 0.131
```

=====

Simulated powder X-ray diffraction pattern
Compound: SrO
Radiation: CuKα
Structure: a structure optimized by DFT (PBE)

Top 10 peaks for 2θ from 10° to 90°, low angle first:
2θ = 23.9°, I = 64, hkl 1 0 0
2θ = 29.5°, I = 100, hkl 1 0 1
2θ = 34.5°, I = 32, hkl 0 0 2
2θ = 41.9°, I = 54, hkl 1 1 0
2θ = 42.3°, I = 26, hkl 1 0 2
2θ = 52.1°, I = 22, hkl 2 0 1
2θ = 55.4°, I = 46, hkl 1 1 2
2θ = 58.7°, I = 15, hkl 1 0 3
2θ = 69.0°, I = 20, hkl 2 1 1
2θ = 86.8°, I = 12, hkl 3 0 2

Crystal structure
```
data_SrO
_symmetry_space_group_name_H-M 'P 63/m m c'
_symmetry_Int_Tables_number 194
_symmetry_space_group_name_Hall '-P 6c 2c'
_cell_length_a 4.3075
_cell_length_b 4.3075
_cell_length_c 5.2049
_cell_angle_alpha 90.00
_cell_angle_beta 90.00
_cell_angle_gamma 120.00
loop_
_atom_site_label
_atom_site_fract_x
_atom_site_fract_y
_atom_site_fract_z
Sr1 0.3333 0.6667 0.2500
O1 0.3333 0.6667 0.7500
```

=====

Simulated powder X-ray diffraction pattern
Compound: SrMg6Sn
Radiation: CuKα
Structure: a structure optimized by DFT (PBE)

Top 10 peaks for 2θ from 10° to 90°, low angle first:
2θ = 14.9°, I = 70, hkl 0 1 1
2θ = 22.7°, I = 23, hkl 1 1 1
2θ = 22.8°, I = 30, hkl 1 0 2
2θ = 30.1°, I = 24, hkl 0 2 2
2θ = 31.4°, I = 33, hkl 1 1 3
2θ = 34.5°, I = 34, hkl 2 0 0
2θ = 34.8°, I = 100, hkl 1 2 2
2θ = 35.1°, I = 48, hkl 1 0 4
2θ = 53.9°, I = 24, hkl 0 2 6
2θ = 65.6°, I = 20, hkl 2 2 6

Crystal structure
```
data_SrMg6Sn
_symmetry_space_group_name_H-M 'A m m 2'
_symmetry_Int_Tables_number 38
_cell_length_a 5.204
_cell_length_b 6.886
_cell_length_c 11.731
_cell_angle_alpha 90.00
_cell_angle_beta 90.00
_cell_angle_gamma 90.00
loop_
_symmetry_equiv_pos_as_xyz
'x,y,z'
'-x,-y,z'
'-x,y,z'
'x,-y,z'
'x,y+1/2,z+1/2'
'-x,-y+1/2,z+1/2'
'-x,y+1/2,z+1/2'
'x,-y+1/2,z+1/2'
loop_
_atom_site_label
_atom_site_fract_x
_atom_site_fract_y
_atom_site_fract_z
Sr1 0.000 0.000 0.000
Mg1 0.000 0.000 0.491
Mg2 0.000 0.248 0.250
Mg3 0.500 0.000 0.662
Mg4 0.500 0.230 0.406
Sn1 0.500 0.000 0.171
```

=====

Simulated powder X-ray diffraction pattern
Compound: Li4H7RhS3O13
Radiation: CuKα
Structure: a structure optimized by DFT (PBE)

Top 10 peaks for 2θ from 10° to 90°, low angle first:
2θ = 14.1°, I = 79, hkl 1 0 1
2θ = 16.4°, I = 14, hkl 0 0 3
2θ = 17.0°, I = 51, hkl 0 1 2
2θ = 22.6°, I = 27, hkl 1 1 0
2θ = 28.0°, I = 100, hkl 2 -1 3
2θ = 28.4°, I = 19, hkl 2 0 2
2θ = 40.5°, I = 18, hkl 1 1 6
2θ = 41.5°, I = 21, hkl 3 -1 4
2θ = 52.6°, I = 16, hkl 0 3 6
2θ = 57.9°, I = 15, hkl 4 -2 6

Crystal structure
```
data_Li4H7RhS3O13
_symmetry_space_group_name_H-M 'R 3'
_symmetry_Int_Tables_number 146
_symmetry_space_group_name_Hall 'R 3'
_cell_length_a 7.8822
_cell_length_b 7.8822
_cell_length_c 16.2001
_cell_angle_alpha 90.00
_cell_angle_beta 90.00
_cell_angle_gamma 120.00
loop_
_atom_site_label
_atom_site_fract_x
_atom_site_fract_y
_atom_site_fract_z
Li1 0.0000 0.0000 0.0000
Li2 0.0795 0.4928 0.1955
H1 0.0000 0.0000 0.7578
H2 0.0007 0.5195 0.5894
H3 0.0253 0.2212 0.2936
Rh1 0.0000 0.0000 0.1663
S1 0.0060 0.6798 0.3805
O1 0.0000 0.0000 0.5173
O2 0.0022 0.8200 0.7702
O3 0.0787 0.5559 0.7644
O4 0.1277 0.7435 0.6387
O5 0.1338 0.4219 0.9075
```